Structure and calculated powder XRD pattern of ZnS (a structure optimized by DFT (GGA-PBE); Cu Kα (weighted mean of Kα1 and Kα2)).

Principal peaks in the range 10° ≤ 2θ ≤ 80°, most intense first:
- 2θ = 28.2°, d = 3.162 Å, rel. 100
- 2θ = 47.2°, d = 1.927 Å, rel. 65
- 2θ = 55.9°, d = 1.644 Å, rel. 57
- 2θ = 28.4°, d = 3.148 Å, rel. 53
- 2θ = 46.8°, d = 1.942 Å, rel. 39
- 2θ = 28.7°, d = 3.114 Å, rel. 33
- 2θ = 47.9°, d = 1.898 Å, rel. 15
- 2θ = 33.1°, d = 2.704 Å, rel. 15
- 2θ = 56.4°, d = 1.632 Å, rel. 13
- 2θ = 68.6°, d = 1.368 Å, rel. 12

Atomic structure:
```
data_ZnS
_chemical_formula_sum 'Zn22 S22'
_cell_length_a 3.8532
_cell_length_b 3.8532
_cell_length_c 69.2484
_cell_angle_alpha 90.00
_cell_angle_beta 90.00
_cell_angle_gamma 120.00
_symmetry_space_group_name_H-M 'P 3 m 1'
_symmetry_Int_Tables_number 156
_symmetry_space_group_name_Hall 'P 3 -2"'
loop_
_atom_site_label
_atom_site_type_symbol
_atom_site_fract_x
_atom_site_fract_y
_atom_site_fract_z
Zn1 Zn 0.0000 0.0000 0.0000
Zn2 Zn 0.0000 0.0000 0.0910
Zn3 Zn 0.0000 0.0000 0.2273
Zn4 Zn 0.0000 0.0000 0.3636
Zn5 Zn 0.0000 0.0000 0.5000
Zn6 Zn 0.0000 0.0000 0.6364
Zn7 Zn 0.0000 0.0000 0.7728
Zn8 Zn 0.0000 0.0000 0.9091
Zn9 Zn 0.3333 0.6667 0.1364
Zn10 Zn 0.3333 0.6667 0.2728
Zn11 Zn 0.3333 0.6667 0.4091
Zn12 Zn 0.3333 0.6667 0.5455
Zn13 Zn 0.3333 0.6667 0.6819
Zn14 Zn 0.3333 0.6667 0.8182
Zn15 Zn 0.3333 0.6667 0.9546
Zn16 Zn 0.6667 0.3333 0.0455
Zn17 Zn 0.6667 0.3333 0.1819
Zn18 Zn 0.6667 0.3333 0.3182
Zn19 Zn 0.6667 0.3333 0.4546
Zn20 Zn 0.6667 0.3333 0.5909
Zn21 Zn 0.6667 0.3333 0.7273
Zn22 Zn 0.6667 0.3333 0.8637
S1 S 0.0000 0.0000 0.0341
S2 S 0.0000 0.0000 0.1250
S3 S 0.0000 0.0000 0.2614
S4 S 0.0000 0.0000 0.3977
S5 S 0.0000 0.0000 0.5341
S6 S 0.0000 0.0000 0.6705
S7 S 0.0000 0.0000 0.8069
S8 S 0.0000 0.0000 0.9432
S9 S 0.3333 0.6667 0.1705
S10 S 0.3333 0.6667 0.3069
S11 S 0.3333 0.6667 0.4432
S12 S 0.3333 0.6667 0.5796
S13 S 0.3333 0.6667 0.7159
S14 S 0.3333 0.6667 0.8523
S15 S 0.3333 0.6667 0.9887
S16 S 0.6667 0.3333 0.0796
S17 S 0.6667 0.3333 0.2159
S18 S 0.6667 0.3333 0.3523
S19 S 0.6667 0.3333 0.4887
S20 S 0.6667 0.3333 0.6250
S21 S 0.6667 0.3333 0.7614
S22 S 0.6667 0.3333 0.8978
```



Structure and calculated powder XRD pattern of ZnS (a structure optimized by DFT (GGA-PBE); Cu Kα (weighted mean of Kα1 and Kα2)).

Principal peaks in the range 10° ≤ 2θ ≤ 80°, most intense first:
- 2θ = 28.4°, d = 3.140 Å, rel. 100
- 2θ = 47.5°, d = 1.916 Å, rel. 48
- 2θ = 46.3°, d = 1.960 Å, rel. 28
- 2θ = 27.6°, d = 3.237 Å, rel. 26
- 2θ = 55.8°, d = 1.649 Å, rel. 20
- 2θ = 32.7°, d = 2.740 Å, rel. 17
- 2θ = 56.2°, d = 1.636 Å, rel. 14
- 2θ = 54.8°, d = 1.676 Å, rel. 13
- 2θ = 48.4°, d = 1.882 Å, rel. 11
- 2θ = 76.6°, d = 1.244 Å, rel. 10

Atomic structure:
```
data_ZnS
_chemical_formula_sum 'Zn12 S12'
_cell_length_a 3.8320
_cell_length_b 3.8320
_cell_length_c 38.8482
_cell_angle_alpha 90.00
_cell_angle_beta 90.00
_cell_angle_gamma 120.00
_symmetry_space_group_name_H-M 'P 3 m 1'
_symmetry_Int_Tables_number 156
_symmetry_space_group_name_Hall 'P 3 -2"'
loop_
_atom_site_label
_atom_site_type_symbol
_atom_site_fract_x
_atom_site_fract_y
_atom_site_fract_z
Zn1 Zn 0.0000 0.0000 0.0000
Zn2 Zn 0.0000 0.0000 0.2114
Zn3 Zn 0.0000 0.0000 0.5110
Zn4 Zn 0.0000 0.0000 0.7579
Zn5 Zn 0.3333 0.6667 0.0803
Zn6 Zn 0.3333 0.6667 0.3462
Zn7 Zn 0.3333 0.6667 0.5936
Zn8 Zn 0.3333 0.6667 0.8391
Zn9 Zn 0.6667 0.3333 0.1647
Zn10 Zn 0.6667 0.3333 0.4285
Zn11 Zn 0.6667 0.3333 0.6760
Zn12 Zn 0.6667 0.3333 0.9196
S1 S 0.0000 0.0000 0.0605
S2 S 0.0000 0.0000 0.2679
S3 S 0.0000 0.0000 0.5725
S4 S 0.0000 0.0000 0.8188
S5 S 0.3333 0.6667 0.1407
S6 S 0.3333 0.6667 0.4080
S7 S 0.3333 0.6667 0.6551
S8 S 0.3333 0.6667 0.8997
S9 S 0.6667 0.3333 0.3261
S10 S 0.6667 0.3333 0.4900
S11 S 0.6667 0.3333 0.7373
S12 S 0.6667 0.3333 0.9802
```



Repeat the first record exactly.
Structure and calculated powder XRD pattern of ZnS (a structure optimized by DFT (GGA-PBE); Cu Kα (weighted mean of Kα1 and Kα2)).

Principal peaks in the range 10° ≤ 2θ ≤ 80°, most intense first:
- 2θ = 28.2°, d = 3.162 Å, rel. 100
- 2θ = 47.2°, d = 1.927 Å, rel. 65
- 2θ = 55.9°, d = 1.644 Å, rel. 57
- 2θ = 28.4°, d = 3.148 Å, rel. 53
- 2θ = 46.8°, d = 1.942 Å, rel. 39
- 2θ = 28.7°, d = 3.114 Å, rel. 33
- 2θ = 47.9°, d = 1.898 Å, rel. 15
- 2θ = 33.1°, d = 2.704 Å, rel. 15
- 2θ = 56.4°, d = 1.632 Å, rel. 13
- 2θ = 68.6°, d = 1.368 Å, rel. 12

Atomic structure:
```
data_ZnS
_chemical_formula_sum 'Zn22 S22'
_cell_length_a 3.8532
_cell_length_b 3.8532
_cell_length_c 69.2484
_cell_angle_alpha 90.00
_cell_angle_beta 90.00
_cell_angle_gamma 120.00
_symmetry_space_group_name_H-M 'P 3 m 1'
_symmetry_Int_Tables_number 156
_symmetry_space_group_name_Hall 'P 3 -2"'
loop_
_atom_site_label
_atom_site_type_symbol
_atom_site_fract_x
_atom_site_fract_y
_atom_site_fract_z
Zn1 Zn 0.0000 0.0000 0.0000
Zn2 Zn 0.0000 0.0000 0.0910
Zn3 Zn 0.0000 0.0000 0.2273
Zn4 Zn 0.0000 0.0000 0.3636
Zn5 Zn 0.0000 0.0000 0.5000
Zn6 Zn 0.0000 0.0000 0.6364
Zn7 Zn 0.0000 0.0000 0.7728
Zn8 Zn 0.0000 0.0000 0.9091
Zn9 Zn 0.3333 0.6667 0.1364
Zn10 Zn 0.3333 0.6667 0.2728
Zn11 Zn 0.3333 0.6667 0.4091
Zn12 Zn 0.3333 0.6667 0.5455
Zn13 Zn 0.3333 0.6667 0.6819
Zn14 Zn 0.3333 0.6667 0.8182
Zn15 Zn 0.3333 0.6667 0.9546
Zn16 Zn 0.6667 0.3333 0.0455
Zn17 Zn 0.6667 0.3333 0.1819
Zn18 Zn 0.6667 0.3333 0.3182
Zn19 Zn 0.6667 0.3333 0.4546
Zn20 Zn 0.6667 0.3333 0.5909
Zn21 Zn 0.6667 0.3333 0.7273
Zn22 Zn 0.6667 0.3333 0.8637
S1 S 0.0000 0.0000 0.0341
S2 S 0.0000 0.0000 0.1250
S3 S 0.0000 0.0000 0.2614
S4 S 0.0000 0.0000 0.3977
S5 S 0.0000 0.0000 0.5341
S6 S 0.0000 0.0000 0.6705
S7 S 0.0000 0.0000 0.8069
S8 S 0.0000 0.0000 0.9432
S9 S 0.3333 0.6667 0.1705
S10 S 0.3333 0.6667 0.3069
S11 S 0.3333 0.6667 0.4432
S12 S 0.3333 0.6667 0.5796
S13 S 0.3333 0.6667 0.7159
S14 S 0.3333 0.6667 0.8523
S15 S 0.3333 0.6667 0.9887
S16 S 0.6667 0.3333 0.0796
S17 S 0.6667 0.3333 0.2159
S18 S 0.6667 0.3333 0.3523
S19 S 0.6667 0.3333 0.4887
S20 S 0.6667 0.3333 0.6250
S21 S 0.6667 0.3333 0.7614
S22 S 0.6667 0.3333 0.8978
```